Starting from the GGA-PBE geometry in the Materials Project, the powder X-ray diffraction pattern of Y14MgRe2O28 was simulated for Cu Kα, 1.54184 Å.

Largest 10 diffraction maxima, by angle, 2θ from 5° to 70°:
index	two_theta	intensity
0 1 1	14.25	12
0 2 2	28.60	34
2 0 2	28.76	100
2 2 0	33.18	28
0 0 4	33.50	12
0 4 0	47.45	12
-2 2 4	47.80	34
2 2 -4	47.93	21
4 2 2	56.68	17
2 0 -6	57.04	11

Structure:
abc: 7.613 7.664 10.699
angles: 89.78 89.98 89.99
Space group P1 (No. 1)
Unique sites:
1 Y 0.000 0.000 0.000 x1
2 Y 0.000 0.495 0.541 x1
3 Y 0.001 0.509 0.052 x1
4 Y 0.234 0.253 0.776 x1
5 Y 0.243 0.748 0.312 x1
6 Y 0.272 0.738 0.805 x1
7 Y 0.282 0.277 0.278 x1
8 Y 0.500 0.002 0.546 x1
9 Y 0.500 0.003 0.043 x1
10 Y 0.500 0.500 0.550 x1
11 Y 0.719 0.278 0.277 x1
12 Y 0.729 0.738 0.805 x1
13 Y 0.758 0.747 0.312 x1
14 Y 0.767 0.252 0.776 x1
15 Mg 0.001 0.028 0.260 x1
16 Re 0.000 0.997 0.546 x1
17 Re 0.500 0.504 0.038 x1
18 O 0.000 0.225 0.632 x1
19 O 0.000 0.271 0.911 x1
20 O 0.000 0.731 0.907 x1
21 O 0.000 0.769 0.461 x1
22 O 0.001 0.283 0.196 x1
23 O 0.001 0.753 0.190 x1
24 O 0.169 0.057 0.411 x1
25 O 0.200 0.950 0.642 x1
26 O 0.226 0.515 0.675 x1
27 O 0.241 0.493 0.413 x1
28 O 0.254 0.001 0.171 x1
29 O 0.270 0.012 0.899 x1
30 O 0.311 0.555 0.156 x1
31 O 0.314 0.454 0.926 x1
32 O 0.500 0.238 0.678 x1
33 O 0.500 0.275 0.122 x1
34 O 0.500 0.734 0.958 x1
35 O 0.500 0.759 0.678 x1
36 O 0.501 0.232 0.409 x1
37 O 0.501 0.784 0.408 x1
38 O 0.685 0.453 0.926 x1
39 O 0.691 0.554 0.156 x1
40 O 0.730 0.012 0.900 x1
41 O 0.748 0.001 0.171 x1
42 O 0.760 0.493 0.413 x1
43 O 0.775 0.515 0.676 x1
44 O 0.800 0.951 0.642 x1
45 O 0.833 0.058 0.411 x1

Starting from the GGA-PBE geometry in the Materials Project, the powder X-ray diffraction pattern of NaAuS was simulated for Cu Kα, 1.54184 Å.

Largest 10 diffraction maxima, by angle, 2θ from 5° to 70°:
index	two_theta	intensity
2 0 0	11.89	86
1 1 1	14.29	77
2 4 0	20.39	41
4 4 0	29.20	100
0 4 2	29.90	86
2 4 2	32.28	64
4 0 2	34.70	35
6 4 0	40.09	26
8 0 0	48.92	77
8 4 2	58.44	26

Structure:
abc: 14.881 21.491 7.192
angles: 90.00 90.00 90.00
Space group Ccce (No. 68, origin choice 2)
Unique sites:
1 Na 0.000 0.137 0.250 x8
2 Na 0.190 0.066 0.091 x16
3 Na 0.249 0.250 0.250 x8
4 Au 0.000 0.000 0.000 x8
5 Au 0.000 0.250 0.531 x8
6 Au 0.120 0.126 0.720 x16
7 S 0.129 0.061 0.463 x16
8 S 0.129 0.188 0.989 x16

Starting from the GGA-PBE geometry in the Materials Project, the powder X-ray diffraction pattern of ErSiPd2 was simulated for Cu Kα, 1.54184 Å.

Largest 10 diffraction maxima, by angle, 2θ from 5° to 70°:
index	two_theta	intensity
2 1 1	32.11	70
1 2 1	32.70	76
1 0 2	34.82	50
2 2 0	35.57	93
1 1 2	37.18	100
2 2 1	39.26	39
3 0 1	40.60	70
0 3 1	42.04	35
1 3 1	43.92	39
3 3 2	64.94	53

Structure:
abc: 7.285 7.003 5.509
angles: 90.00 90.00 90.00
Space group Pnma (No. 62)
Unique sites:
1 Er 0.027 0.250 0.140 x4
2 Si 0.121 0.750 0.360 x4
3 Pd 0.179 0.052 0.594 x8

Starting from the GGA-PBE geometry in the Materials Project, the powder X-ray diffraction pattern of K3Be was simulated for Cu Kα, 1.54184 Å.

Largest 10 diffraction maxima, by angle, 2θ from 5° to 70°:
index	two_theta	intensity
1 1 1	17.13	16
2 0 0	19.80	8
2 2 0	28.15	100
3 1 1	33.13	9
4 0 0	40.23	17
3 3 1	44.02	4
4 2 0	45.22	3
4 2 2	49.82	34
4 4 0	58.20	10
6 2 0	65.88	13

Structure:
abc: 8.967 8.967 8.967
angles: 90.00 90.00 90.00
Space group Fm-3m (No. 225)
Unique sites:
1 K 0.000 0.000 0.000 x4
2 K 0.250 0.250 0.250 x8
3 Be 0.000 0.000 0.500 x4

Starting from the GGA-PBE geometry in the Materials Project, the powder X-ray diffraction pattern of CaAl2SiO6 was simulated for Cu Kα, 1.54184 Å.

Largest 10 diffraction maxima, by angle, 2θ from 5° to 70°:
index	two_theta	intensity
1 2 -1	29.92	100
-1 2 1	30.10	82
0 1 -3	30.49	53
-1 1 2	30.85	76
2 0 2	35.05	75
1 2 3	35.75	45
1 -2 3	36.09	45
1 4 1	44.92	38
-1 3 4	57.05	33
3 3 2	60.93	30

Structure:
abc: 5.338 8.739 9.691
angles: 89.61 74.49 89.36
Space group P1 (No. 1)
Unique sites:
1 Ca 0.000 0.000 0.000 x1
2 Ca 0.007 0.124 0.498 x1
3 Ca 0.498 0.503 0.498 x1
4 Ca 0.510 0.620 0.996 x1
5 Al 0.005 0.718 0.499 x1
6 Al 0.021 0.406 0.993 x1
7 Al 0.179 0.408 0.283 x1
8 Al 0.182 0.717 0.782 x1
9 Al 0.329 0.214 0.711 x1
10 Al 0.493 0.221 0.001 x1
11 Al 0.501 0.901 0.497 x1
12 Al 0.831 0.711 0.214 x1
13 Si 0.329 0.906 0.206 x1
14 Si 0.677 0.213 0.288 x1
15 Si 0.678 0.910 0.789 x1
16 Si 0.829 0.408 0.709 x1
17 O 0.121 0.337 0.641 x1
18 O 0.137 0.796 0.142 x1
19 O 0.192 0.579 0.369 x1
20 O 0.210 0.544 0.865 x1
21 O 0.227 0.226 0.900 x1
22 O 0.238 0.899 0.384 x1
23 O 0.271 0.734 0.594 x1
24 O 0.285 0.390 0.096 x1
25 O 0.306 0.073 0.133 x1
26 O 0.312 0.045 0.621 x1
27 O 0.386 0.286 0.355 x1
28 O 0.387 0.839 0.852 x1
29 O 0.621 0.833 0.144 x1
30 O 0.636 0.300 0.645 x1
31 O 0.691 0.077 0.863 x1
32 O 0.703 0.046 0.360 x1
33 O 0.735 0.734 0.403 x1
34 O 0.747 0.390 0.887 x1
35 O 0.757 0.222 0.110 x1
36 O 0.771 0.898 0.611 x1
37 O 0.808 0.578 0.642 x1
38 O 0.816 0.540 0.126 x1
39 O 0.872 0.323 0.350 x1
40 O 0.872 0.800 0.854 x1

Starting from the GGA-PBE geometry in the Materials Project, the powder X-ray diffraction pattern of Mg6MnGa was simulated for Cu Kα, 1.54184 Å.

Largest 10 diffraction maxima, by angle, 2θ from 5° to 70°:
index	two_theta	intensity
0 1 1	16.49	31
1 0 2	24.63	11
0 2 2	33.31	18
0 0 4	33.41	7
1 1 3	34.25	9
2 0 0	36.79	25
1 0 4	38.22	100
2 2 2	50.48	15
0 2 6	59.65	11
3 0 4	67.21	17

Structure:
abc: 4.886 6.218 10.728
angles: 90.00 90.00 90.00
Space group Amm2 (No. 38)
Unique sites:
1 Mg 0.000 0.000 0.000 x2
2 Mg 0.000 0.242 0.745 x4
3 Mg 0.500 0.000 0.166 x2
4 Mg 0.500 0.246 0.418 x4
5 Mn 0.500 0.000 0.661 x2
6 Ga 0.000 0.000 0.508 x2

Repeat the fourth record exactly.
Starting from the GGA-PBE geometry in the Materials Project, the powder X-ray diffraction pattern of K3Be was simulated for Cu Kα, 1.54184 Å.

Largest 10 diffraction maxima, by angle, 2θ from 5° to 70°:
index	two_theta	intensity
1 1 1	17.13	16
2 0 0	19.80	8
2 2 0	28.15	100
3 1 1	33.13	9
4 0 0	40.23	17
3 3 1	44.02	4
4 2 0	45.22	3
4 2 2	49.82	34
4 4 0	58.20	10
6 2 0	65.88	13

Structure:
abc: 8.967 8.967 8.967
angles: 90.00 90.00 90.00
Space group Fm-3m (No. 225)
Unique sites:
1 K 0.000 0.000 0.000 x4
2 K 0.250 0.250 0.250 x8
3 Be 0.000 0.000 0.500 x4

Q: Number 1 is which compound?
A: Y14MgRe2O28